Simulated powder X-ray diffraction pattern of Cr5W11 for Cu Kα (λ = 1.5418 Å), from the PBE geometry in Alexandria.
Intensities are scaled so that the largest is 100.

Main lines, in order of rising 2θ (2θ = 10–80°):
d (Å)	Position (°2θ)	Rel. int.	h k l
4.383	20.3	11	1 1 0
2.194	41.1	100	2 2 0
2.189	41.3	20	2 0 2
1.552	59.6	13	0 4 0
1.549	59.7	7	4 0 0
1.268	74.9	20	2 4 -2
1.265	75.1	13	2 4 2
1.264	75.2	7	4 2 2

Atomic structure:
```
Cr5W11
1.0
6.198 0.000 0.000
0.000 6.206 0.000
-0.026 0.000 6.208
Cr W
5 11
Direct
0.000 0.000 0.000
0.000 0.000 0.492
0.503 0.500 0.494
0.754 0.247 0.247
0.754 0.753 0.247
0.249 0.247 0.248
0.249 0.753 0.248
0.250 0.248 0.743
0.250 0.752 0.743
0.507 0.500 0.003
0.509 0.000 0.001
0.509 0.000 0.490
0.755 0.248 0.743
0.755 0.752 0.743
0.995 0.500 0.490
0.998 0.500 0.000
```